Record 1
For Ca6ZnAg, a DFT-relaxed cell (PBE, Alexandria) gives the theoretical powder diffraction line list in this record (CuKα).
No peak broadening, texture or thermal motion is included.

Principal peaks in the range 2θ from 5° to 70°, in order of falling intensity:
30.3 deg, intensity 100
9.4 deg, intensity 62
33.7 deg, intensity 47
58.2 deg, intensity 28
37.2 deg, intensity 24
48.3 deg, intensity 16
45.3 deg, intensity 14
35.0 deg, intensity 12
18.8 deg, intensity 11
51.7 deg, intensity 11
62.5 deg, intensity 10
38.1 deg, intensity 8

Crystal structure
abc: 5.3249 5.3249 18.9088
angles: 90.00 90.00 90.00
Space group I4/mmm (No. 139)
Symmetry-distinct sites (fractional):
Ca  0.0000  0.0000  0.2492 (multiplicity 4)
Ca  0.0000  0.5000  0.0947 (multiplicity 8)
Zn  0.0000  0.0000  0.0000 (multiplicity 2)
Ag  0.0000  0.0000  0.5000 (multiplicity 2)

Record 2
For Ca2Zn3Ag17, a DFT-relaxed cell (PBE, Alexandria) gives the theoretical powder diffraction line list in this record (CuKα).
No peak broadening, texture or thermal motion is included.

Principal peaks in the range 2θ from 5° to 70°, in order of falling intensity:
34.7 deg, intensity 100
39.4 deg, intensity 87
40.5 deg, intensity 62
36.5 deg, intensity 54
11.6 deg, intensity 41
17.2 deg, intensity 41
36.0 deg, intensity 41
51.2 deg, intensity 38
35.2 deg, intensity 38
40.8 deg, intensity 35
42.2 deg, intensity 27
15.5 deg, intensity 19

Crystal structure
abc: 10.3305 10.3305 14.7876
angles: 90.00 90.00 120.00
Space group R-3m (No. 166, hexagonal axes)
Symmetry-distinct sites (fractional):
Ca  0.0000  0.0000  0.1366 (multiplicity 6)
Zn  0.0000  0.5000  0.5000 (multiplicity 9)
Ag  0.0000  0.0000  0.3973 (multiplicity 6)
Ag  0.0000  0.2608  0.5000 (multiplicity 18)
Ag  0.0000  0.5000  0.0000 (multiplicity 9)
Ag  0.0101  0.5051  0.6725 (multiplicity 18)